Starting from a PBE-relaxed structure, the XRD peak list of CaPOs was calculated for λ = 1.5418 Å (Cu Kα).
No peak broadening, texture or thermal motion is included.

Main lines, by angle (10 to 80 degrees two-theta):
(0 0 1), 2θ 12.6, I 100; (0 0 2), 2θ 25.4, I 13; (1 1 1), 2θ 33.6, I 47; (1 1 2), 2θ 40.5, I 38; (2 0 0), 2θ 44.4, I 19; (2 0 1), 2θ 46.4, I 16; (1 1 3), 2θ 50.3, I 12; (1 1 4), 2θ 62.0, I 10; (3 1 1), 2θ 74.9, I 10; (3 1 2), 2θ 79.2, I 11

Cell and atoms:
Cell lengths 4.077, 4.077, 7.002 Å; angles 90.00, 90.00, 90.00 degrees
Space group P4/nmm (No. 129, origin choice 2)
Unique sites:
Ca (0.250, 0.250, 0.167)
P (0.250, 0.250, 0.677)
Os (0.250, 0.750, 0.500)